This entry pairs a crystal structure of HgRhO3 with its calculated X-ray powder pattern. Radiation: Cu Kα (weighted mean of Kα1 and Kα2). Structure: the GGA-PBE geometry in the Materials Project.
Intensities are scaled so that the largest is 1000.

Structure:
Unit cell a=3.9707 b=3.9707 c=3.9707 alpha=90.00 beta=90.00 gamma=90.00
Space group Pm-3m (No. 221)
Asymmetric unit:
Hg 0.0000 0.0000 0.0000 x1
Rh 0.5000 0.5000 0.5000 x1
O 0.0000 0.5000 0.5000 x3

Largest 8 diffraction maxima, by angle, 10° ≤ 2θ ≤ 90°:
- 2θ = 22.4°, rel. 76, hkl 1 0 0
- 2θ = 31.9°, rel. 1000, hkl 1 1 0
- 2θ = 39.3°, rel. 94, hkl 1 1 1
- 2θ = 45.7°, rel. 275, hkl 2 0 0
- 2θ = 56.8°, rel. 400, hkl 2 1 1
- 2θ = 66.6°, rel. 171, hkl 2 2 0
- 2θ = 75.8°, rel. 175, hkl 3 1 0
- 2θ = 84.5°, rel. 59, hkl 2 2 2

This entry pairs a crystal structure of Hg3SO6 with its calculated X-ray powder pattern. Radiation: Cu Kα (weighted mean of Kα1 and Kα2). Structure: the GGA-PBE geometry in the Materials Project.
Intensities are scaled so that the largest is 1000.

Structure:
Unit cell a=7.1791 b=7.1791 c=10.6448 alpha=90.00 beta=90.00 gamma=120.00
Space group P3_121 (No. 152)
Asymmetric unit:
Hg 0.0000 0.7033 0.1667 x3
Hg 0.1936 0.4989 0.8265 x6
S 0.0000 0.2283 0.1667 x3
O 0.0348 0.8466 0.9065 x6
O 0.1214 0.4118 0.0763 x6
O 0.1438 0.4729 0.5455 x6

Largest 8 diffraction maxima, by angle, 10° ≤ 2θ ≤ 90°:
- 2θ = 16.5°, rel. 172, hkl 1 0 1
- 2θ = 25.1°, rel. 552, hkl 0 0 3
- 2θ = 29.9°, rel. 1000, hkl 2 0 1
- 2θ = 33.4°, rel. 586, hkl 0 2 2
- 2θ = 44.8°, rel. 358, hkl 2 0 4
- 2θ = 50.9°, rel. 177, hkl 2 2 0
- 2θ = 52.1°, rel. 180, hkl 0 2 5
- 2θ = 57.5°, rel. 234, hkl 2 2 3

This entry pairs a crystal structure of Hg3S2O11 with its calculated X-ray powder pattern. Radiation: Cu Kα (weighted mean of Kα1 and Kα2). Structure: the GGA-PBE geometry in the Materials Project.
Intensities are scaled so that the largest is 1000.

Structure:
Unit cell a=7.8226 b=8.8868 c=14.4900 alpha=90.00 beta=105.04 gamma=90.00
Space group C2/c (No. 15)
Asymmetric unit:
Hg 0.0000 0.0000 0.0000 x4
Hg 0.1206 0.3059 0.1512 x8
S 0.1443 0.3425 0.6034 x8
O 0.0000 0.0238 0.7500 x4
O 0.0262 0.2577 0.9329 x8
O 0.1059 0.4620 0.6721 x8
O 0.1191 0.0756 0.1401 x8
O 0.1955 0.4164 0.5239 x8
O 0.2189 0.2590 0.3398 x8

Largest 8 diffraction maxima, by angle, 10° ≤ 2θ ≤ 90°:
- 2θ = 17.8°, rel. 494, hkl 1 1 1
- 2θ = 21.8°, rel. 451, hkl 1 1 2
- 2θ = 23.7°, rel. 1000, hkl 2 0 -2
- 2θ = 27.1°, rel. 276, hkl 1 1 -4
- 2θ = 32.5°, rel. 495, hkl 1 3 0
- 2θ = 32.6°, rel. 374, hkl 0 2 4
- 2θ = 33.8°, rel. 279, hkl 1 3 -2
- 2θ = 36.0°, rel. 370, hkl 3 1 -1

This entry pairs a crystal structure of HgSO5 with its calculated X-ray powder pattern. Radiation: Cu Kα (weighted mean of Kα1 and Kα2). Structure: the GGA-PBE geometry in the Materials Project.
Intensities are scaled so that the largest is 1000.

Structure:
Unit cell a=8.8711 b=5.7070 c=8.7179 alpha=90.00 beta=90.00 gamma=90.00
Space group Pnma (No. 62)
Asymmetric unit:
Hg 0.1397 0.2500 0.2193 x4
S 0.0986 0.2500 0.8580 x4
O 0.0570 0.7500 0.0846 x4
O 0.0652 0.2500 0.4414 x4
O 0.1304 0.0349 0.7674 x8
O 0.2133 0.2500 0.9917 x4

Largest 8 diffraction maxima, by angle, 10° ≤ 2θ ≤ 90°:
- 2θ = 18.6°, rel. 821, hkl 0 1 1
- 2θ = 20.4°, rel. 487, hkl 0 0 2
- 2θ = 22.5°, rel. 432, hkl 2 0 1
- 2θ = 25.4°, rel. 1000, hkl 2 1 0
- 2θ = 31.3°, rel. 315, hkl 0 2 0
- 2θ = 32.8°, rel. 592, hkl 2 1 2
- 2θ = 38.9°, rel. 473, hkl 2 2 1
- 2θ = 49.2°, rel. 293, hkl 2 2 3

This entry pairs a crystal structure of Hg3SO6 with its calculated X-ray powder pattern. Radiation: Cu Kα (weighted mean of Kα1 and Kα2). Structure: the GGA-PBE geometry in the Materials Project.
Intensities are scaled so that the largest is 1000.

Structure:
Unit cell a=7.1763 b=7.1763 c=10.5683 alpha=90.00 beta=90.00 gamma=120.00
Space group P3_1 (No. 144)
Asymmetric unit:
Hg 0.0241 0.1683 0.0000 x3
Hg 0.0376 0.6705 0.9915 x3
Hg 0.5254 0.1710 0.9749 x3
S 0.1112 0.4313 0.6508 x3
O 0.0014 0.1859 0.2731 x3
O 0.0253 0.2578 0.7499 x3
O 0.1366 0.7181 0.2427 x3
O 0.1975 0.6444 0.7133 x3
O 0.4587 0.0685 0.2280 x3
O 0.4828 0.1427 0.7032 x3

Largest 8 diffraction maxima, by angle, 10° ≤ 2θ ≤ 90°:
- 2θ = 16.5°, rel. 193, hkl 1 0 1
- 2θ = 25.3°, rel. 548, hkl 0 0 3
- 2θ = 30.0°, rel. 1000, hkl 2 0 1
- 2θ = 33.5°, rel. 601, hkl 0 2 2
- 2θ = 45.0°, rel. 354, hkl 2 0 4
- 2θ = 50.9°, rel. 194, hkl 2 2 0
- 2θ = 52.3°, rel. 174, hkl 0 2 5
- 2θ = 57.7°, rel. 247, hkl 4 -2 3

This entry pairs a crystal structure of HgS2O7 with its calculated X-ray powder pattern. Radiation: Cu Kα (weighted mean of Kα1 and Kα2). Structure: the GGA-PBE geometry in the Materials Project.
Intensities are scaled so that the largest is 1000.

Structure:
Unit cell a=5.2841 b=13.2526 c=9.7607 alpha=90.00 beta=120.28 gamma=90.00
Space group P2_1/c (No. 14)
Asymmetric unit:
Hg 0.1468 0.1572 0.3286 x4
S 0.2568 0.6762 0.5901 x4
S 0.3610 0.0210 0.6927 x4
O 0.0227 0.1648 0.0566 x4
O 0.1964 0.5136 0.2671 x4
O 0.2298 0.1083 0.5889 x4
O 0.2327 0.7348 0.7112 x4
O 0.3186 0.5589 0.6578 x4
O 0.4485 0.5598 0.1228 x4
O 0.4943 0.2038 0.9281 x4

Largest 8 diffraction maxima, by angle, 10° ≤ 2θ ≤ 90°:
- 2θ = 17.0°, rel. 542, hkl 0 2 1
- 2θ = 21.5°, rel. 1000, hkl 1 2 -1
- 2θ = 22.1°, rel. 606, hkl 0 1 2
- 2θ = 26.3°, rel. 203, hkl 1 3 -1
- 2θ = 30.8°, rel. 238, hkl 1 2 -3
- 2θ = 33.5°, rel. 529, hkl 1 3 1
- 2θ = 40.1°, rel. 207, hkl 2 1 0
- 2θ = 40.9°, rel. 242, hkl 0 6 0

This entry pairs a crystal structure of Hg2Sb2O7 with its calculated X-ray powder pattern. Radiation: Cu Kα (weighted mean of Kα1 and Kα2). Structure: the GGA-PBE geometry in the Materials Project.
Intensities are scaled so that the largest is 1000.

Structure:
Unit cell a=10.5505 b=10.5505 c=10.5505 alpha=90.00 beta=90.00 gamma=90.00
Space group Fd-3m (No. 227, origin choice 2)
Asymmetric unit:
Hg 0.0000 0.0000 0.0000 x16
Sb 0.0000 0.0000 0.5000 x16
O 0.0707 0.3750 0.8750 x48
O 0.1250 0.1250 0.1250 x8

Largest 8 diffraction maxima, by angle, 10° ≤ 2θ ≤ 90°:
- 2θ = 29.3°, rel. 1000, hkl 2 2 2
- 2θ = 34.0°, rel. 377, hkl 4 0 0
- 2θ = 48.8°, rel. 438, hkl 4 4 0
- 2θ = 58.0°, rel. 444, hkl 6 2 2
- 2θ = 60.8°, rel. 117, hkl 4 4 4
- 2θ = 71.5°, rel. 67, hkl 8 0 0
- 2θ = 79.1°, rel. 183, hkl 6 6 2
- 2θ = 81.6°, rel. 161, hkl 8 4 0

This entry pairs a crystal structure of HgSeO3 with its calculated X-ray powder pattern. Radiation: Cu Kα (weighted mean of Kα1 and Kα2). Structure: the GGA-PBE geometry in the Materials Project.
Intensities are scaled so that the largest is 1000.

Structure:
Unit cell a=6.3234 b=8.6921 c=6.1576 alpha=90.00 beta=90.00 gamma=90.00
Space group Pnma (No. 62)
Asymmetric unit:
Hg 0.0000 0.0000 0.0000 x4
Se 0.0782 0.2500 0.4961 x4
O 0.1559 0.2500 0.2350 x4
O 0.2129 0.0919 0.6149 x8

Largest 8 diffraction maxima, by angle, 10° ≤ 2θ ≤ 90°:
- 2θ = 20.1°, rel. 245, hkl 1 0 1
- 2θ = 28.2°, rel. 157, hkl 2 0 0
- 2θ = 28.8°, rel. 1000, hkl 1 2 1
- 2θ = 29.0°, rel. 246, hkl 0 0 2
- 2θ = 40.9°, rel. 169, hkl 2 0 2
- 2θ = 50.3°, rel. 142, hkl 3 2 1
- 2θ = 51.3°, rel. 216, hkl 1 2 3
- 2θ = 59.7°, rel. 116, hkl 2 4 2